Diffraction record for CsNa2GaF6. The X-ray diffraction stick pattern is computed, not measured: it uses a GGA-PBE-relaxed structure and Cu Kα (λ = 1.5418 Å).
No peak broadening, texture or thermal motion is included.

Structure:
Unit cell a=6.3749 b=6.3749 c=6.3749 alpha=55.68 beta=55.68 gamma=55.68
Atoms (fractional coordinates):
1 Cs 0.0000 0.0000 0.0000
2 Na 0.2166 0.2166 0.2166
3 Na 0.7355 0.7355 0.7355
4 Ga 0.5359 0.5359 0.5359
5 F 0.1798 0.5126 0.7272
6 F 0.4186 0.9003 0.5201
7 F 0.5126 0.7272 0.1798
8 F 0.5201 0.4186 0.9003
9 F 0.7272 0.1798 0.5126
10 F 0.9003 0.5201 0.4186

Largest 6 diffraction maxima, in order of falling intensity, 2θ from 10° to 80°:
d_spacing, 2theta, intensity
4.342, 20.5, 100
3.174, 28.1, 82
2.977, 30.0, 64
1.754, 52.1, 33
1.994, 45.5, 31
1.718, 53.3, 27